Computed powder diffractogram of TbHo4Tm3 for CuKα, from a GGA-PBE-relaxed structure.

Top 10 peaks for 2θ from 5° to 70°, in order of falling intensity:
hkl 2 2 1, 2θ 33.0, rel. 100.0
hkl 0 2 1, 2θ 28.7, rel. 24.0
hkl 4 0 0, 2θ 32.3, rel. 23.7
hkl 4 4 0, 2θ 61.5, rel. 22.5
hkl 6 2 1, 2θ 58.0, rel. 20.2
hkl 0 4 0, 2θ 50.9, rel. 19.9
hkl 2 4 2, 2θ 62.0, rel. 16.5
hkl 4 2 1, 2θ 43.7, rel. 15.4
hkl 4 4 2, 2θ 69.3, rel. 4.0
hkl 0 4 2, 2θ 59.5, rel. 3.1

Structural model:
a = 11.101 Å, b = 7.184 Å, c = 6.209 Å
α = 90.00°, β = 90.00°, γ = 90.00°
Sites, in units of the cell vectors:
Tb (0.000, 0.125, 0.000)
Tb (0.500, 0.875, 0.500)
Ho (0.000, 0.374, 0.500)
Ho (0.000, 0.626, 0.999)
Ho (0.249, 0.625, 0.333)
Ho (0.251, 0.375, 0.833)
Ho (0.500, 0.374, 0.499)
Ho (0.500, 0.626, 0.000)
Ho (0.749, 0.375, 0.833)
Ho (0.751, 0.625, 0.333)
Tm (0.000, 0.876, 0.500)
Tm (0.250, 0.125, 0.333)
Tm (0.250, 0.875, 0.833)
Tm (0.500, 0.124, 0.000)
Tm (0.750, 0.125, 0.333)
Tm (0.750, 0.875, 0.833)